1.
# Mg14CdSb
Theoretical PXRD pattern, Cu Ka. Input: a cell relaxed with GGA-PBE.

Atomic structure:
Cell: 6.3774 6.3774 10.3587 Å, 90.00 90.00 120.00°
Sites, in units of the cell vectors:
Mg 0.0000 0.0000 0.2502
Mg 0.0000 0.0000 0.7498
Mg 0.3323 0.1662 0.0000
Mg 0.3332 0.1666 0.5000
Mg 0.5019 0.0037 0.2538
Mg 0.5019 0.0037 0.7462
Mg 0.5019 0.4981 0.2538
Mg 0.5019 0.4981 0.7462
Mg 0.8334 0.1666 0.5000
Mg 0.8334 0.6668 0.5000
Mg 0.8338 0.1662 0.0000
Mg 0.8338 0.6677 0.0000
Mg 0.9963 0.4981 0.2538
Mg 0.9963 0.4981 0.7462
Cd 0.3333 0.6667 0.5000
Sb 0.3333 0.6667 0.0000

Largest 10 diffraction maxima, by angle, 2θ from 10° to 90°:
| 2θ/deg | I (rel.) |
| --- | --- |
| 16.05 | 47 |
| 23.55 | 40 |
| 32.42 | 30 |
| 32.99 | 17 |
| 34.64 | 26 |
| 36.89 | 100 |
| 48.17 | 19 |
| 57.83 | 17 |
| 63.55 | 19 |
| 69.20 | 19 |



2.
# Mg6CdSb
Theoretical PXRD pattern, Cu Ka. Input: a cell relaxed with GGA-PBE.

Atomic structure:
Cell: 5.3594 6.2027 11.0770 Å, 90.00 90.00 90.00°
Sites, in units of the cell vectors:
Mg 0.0000 0.0000 0.0000
Mg 0.0000 0.2467 0.2566
Mg 0.0000 0.2533 0.7566
Mg 0.0000 0.5000 0.5000
Mg 0.0000 0.7467 0.7566
Mg 0.0000 0.7533 0.2566
Mg 0.5000 0.0000 0.8343
Mg 0.5000 0.2476 0.5773
Mg 0.5000 0.2524 0.0773
Mg 0.5000 0.5000 0.3343
Mg 0.5000 0.7476 0.0773
Mg 0.5000 0.7524 0.5773
Cd 0.0000 0.0000 0.5213
Cd 0.0000 0.5000 0.0213
Sb 0.5000 0.0000 0.3193
Sb 0.5000 0.5000 0.8193

Largest 10 diffraction maxima, by angle, 2θ from 10° to 90°:
| 2θ/deg | I (rel.) |
| --- | --- |
| 16.38 | 61 |
| 23.09 | 40 |
| 23.36 | 32 |
| 32.33 | 22 |
| 32.80 | 31 |
| 33.44 | 39 |
| 36.52 | 27 |
| 37.22 | 100 |
| 47.19 | 19 |
| 62.27 | 21 |



3.
# Mg6CdSb
Theoretical PXRD pattern, Cu Ka. Input: a cell relaxed with GGA-PBE.

Atomic structure:
Cell: 5.3111 6.4773 10.7749 Å, 90.00 90.00 90.00°
Sites, in units of the cell vectors:
Mg 0.0000 0.0000 0.0000
Mg 0.0000 0.0000 0.4992
Mg 0.0000 0.2485 0.2499
Mg 0.0000 0.2515 0.7499
Mg 0.0000 0.5000 0.5000
Mg 0.0000 0.5000 0.9992
Mg 0.0000 0.7485 0.7499
Mg 0.0000 0.7515 0.2499
Mg 0.5000 0.2495 0.9168
Mg 0.5000 0.2505 0.4168
Mg 0.5000 0.7495 0.4168
Mg 0.5000 0.7505 0.9168
Cd 0.5000 0.0000 0.1658
Cd 0.5000 0.5000 0.6658
Sb 0.5000 0.0000 0.6664
Sb 0.5000 0.5000 0.1664

Largest 10 diffraction maxima, by angle, 2θ from 10° to 90°:
| 2θ/deg | I (rel.) |
| --- | --- |
| 16.45 | 49 |
| 16.69 | 48 |
| 23.52 | 43 |
| 32.25 | 36 |
| 32.38 | 19 |
| 33.75 | 39 |
| 36.53 | 100 |
| 37.43 | 47 |
| 47.38 | 24 |
| 62.19 | 20 |



4.
# Mg6CdSi
Theoretical PXRD pattern, Cu Ka. Input: a cell relaxed with GGA-PBE.

Atomic structure:
Cell: 4.9105 6.4690 10.6187 Å, 90.00 90.00 90.00°
Sites, in units of the cell vectors:
Mg 0.0000 0.0000 0.0000
Mg 0.0000 0.0000 0.4977
Mg 0.0000 0.2464 0.2452
Mg 0.0000 0.2536 0.7452
Mg 0.0000 0.5000 0.5000
Mg 0.0000 0.5000 0.9977
Mg 0.0000 0.7464 0.7452
Mg 0.0000 0.7536 0.2452
Mg 0.5000 0.2501 0.4151
Mg 0.5000 0.2499 0.9151
Mg 0.5000 0.7499 0.4151
Mg 0.5000 0.7501 0.9151
Cd 0.5000 0.0000 0.6648
Cd 0.5000 0.5000 0.1648
Si 0.5000 0.0000 0.1638
Si 0.5000 0.5000 0.6638

Largest 10 diffraction maxima, by angle, 2θ from 10° to 90°:
| 2θ/deg | I (rel.) |
| --- | --- |
| 16.04 | 40 |
| 16.70 | 24 |
| 18.06 | 19 |
| 24.25 | 34 |
| 24.70 | 18 |
| 32.41 | 30 |
| 36.60 | 34 |
| 37.35 | 100 |
| 38.55 | 45 |
| 49.68 | 17 |